Simulated powder diffractogram of Hf2Ge2F for a wavelength of 1.5418 Å, from a crystal structure in Alexandria, relaxed with PBE.
Intensities are scaled so that the largest is 100.

Top 10 peaks for 2θ from 5° to 70°, by angle:
(hkl)  Position (°2θ)  I_rel
1 1 0  16.0  29.3
2 0 0  22.7  24.1
2 1 0  25.4  25.4
3 1 0  36.2  30.6
2 0 1  37.1  20.6
2 1 1  38.9  100.0
4 1 0  47.8  17.8
3 3 0  49.3  15.8
4 1 1  56.9  21.5
3 3 1  58.2  9.9

Atomic structure:
a = 7.844 Å, b = 7.844 Å, c = 3.084 Å
α = 90.00°, β = 90.00°, γ = 90.00°
Space group P4/mbm (No. 127)
Symmetry-distinct sites (fractional):
Hf 0.173 0.327 0.000 [4 per cell]
Ge 0.125 0.625 0.500 [4 per cell]
F 0.000 0.000 0.500 [2 per cell]

Simulated powder diffractogram of Hg12GeF7 for a wavelength of 1.5418 Å, from a crystal structure in Alexandria, relaxed with PBE.
Intensities are scaled so that the largest is 100.

Top 10 peaks for 2θ from 5° to 70°, by angle:
(hkl)  Position (°2θ)  I_rel
1 1 0  9.2  50.0
3 3 0  27.9  32.5
1 3 1  29.5  100.0
3 2 1  32.4  78.1
5 2 0  33.7  48.2
0 5 1  35.1  40.9
5 1 1  37.6  52.8
2 0 2  46.6  25.5
9 0 0  49.4  23.4
0 7 2  60.5  25.1

Atomic structure:
a = 19.1760 Å, b = 19.1760 Å, c = 4.0083 Å
α = 90.00°, β = 90.00°, γ = 120.00°
Space group R-3m (No. 166, hexagonal axes)
Symmetry-distinct sites (fractional):
Hg 0.0000 0.4154 0.0000 [18 per cell]
Hg 0.1111 0.2221 0.8457 [18 per cell]
Ge 0.0000 0.0000 0.5000 [3 per cell]
F 0.0000 0.0000 0.0000 [3 per cell]
F 0.0703 0.1405 0.3503 [18 per cell]

Simulated powder diffractogram of HgGeF4 for a wavelength of 1.5418 Å, from a crystal structure in Alexandria, relaxed with PBE.
Intensities are scaled so that the largest is 100.

Top 10 peaks for 2θ from 5° to 70°, by angle:
(hkl)  Position (°2θ)  I_rel
0 1 0  14.8  21.0
1 0 1  20.9  15.6
1 1 1  25.7  100.0
2 0 0  28.9  21.7
1 2 1  36.7  11.4
2 2 0  42.0  11.2
2 0 2  42.5  14.1
0 2 2  43.2  14.3
3 1 1  49.3  17.2
1 1 3  51.3  15.7

Atomic structure:
a = 6.181 Å, b = 5.993 Å, c = 5.866 Å
α = 90.00°, β = 90.00°, γ = 90.00°
Space group Pmn2_1 (No. 31)
Symmetry-distinct sites (fractional):
Hg 0.000 0.038 0.000 [2 per cell]
Ge 0.000 0.570 0.472 [2 per cell]
F 0.000 0.257 0.274 [2 per cell]
F 0.000 0.854 0.698 [2 per cell]
F 0.211 0.718 0.289 [4 per cell]